1.
This entry pairs a crystal structure of Sm7DyTm4 with its computed PXRD pattern. Radiation: Cu Kα. Structure: a DFT-relaxed cell (PBE, Alexandria).
Peak positions follow from Bragg's law for the DFT cell and can differ from measured ones.

Most intense lines, 10 to 80 degrees two-theta, sorted by position:
| d/Å | I_rel |
| --- | --- |
| 3.101 | 36 |
| 3.036 | 17 |
| 2.875 | 51 |
| 2.813 | 100 |
| 2.674 | 90 |
| 2.247 | 14 |
| 1.803 | 39 |
| 1.678 | 21 |
| 1.591 | 19 |
| 1.528 | 30 |
| 1.527 | 15 |
| 1.518 | 16 |

Crystal structure
Lattice parameters (Å, degrees): 6.249 7.210 8.876 90.01 103.67 90.03
Fractional positions:
Sm  0.000  0.000  0.000
Sm  0.221  0.500  0.665
Sm  0.280  0.751  0.336
Sm  0.499  0.247  0.001
Sm  0.501  0.753  0.999
Sm  0.720  0.249  0.664
Sm  0.779  0.500  0.335
Dy  0.000  0.500  0.000
Tm  0.220  0.000  0.665
Tm  0.278  0.247  0.334
Tm  0.722  0.753  0.666
Tm  0.780  0.000  0.335



2.
This entry pairs a crystal structure of LiVCuS with its computed PXRD pattern. Radiation: Cu Kα. Structure: a DFT-relaxed cell (PBE, Alexandria).
Peak positions follow from Bragg's law for the DFT cell and can differ from measured ones.

Most intense lines, 10 to 80 degrees two-theta, sorted by position:
| d/Å | I_rel |
| --- | --- |
| 3.860 | 72 |
| 2.553 | 61 |
| 2.252 | 49 |
| 2.133 | 100 |
| 2.126 | 98 |
| 1.951 | 19 |
| 1.939 | 19 |
| 1.930 | 38 |
| 1.549 | 18 |
| 1.351 | 15 |
| 1.277 | 24 |
| 1.208 | 15 |

Crystal structure
Lattice parameters (Å, degrees): 3.860 3.099 4.505 90.00 90.40 90.00
Fractional positions:
Li  0.000  0.000  0.000
V  0.506  0.000  0.459
Cu  0.498  0.500  0.964
S  0.007  0.500  0.562



3.
This entry pairs a crystal structure of Th3Cd3Ru with its computed PXRD pattern. Radiation: Cu Kα. Structure: a DFT-relaxed cell (PBE, Alexandria).
Peak positions follow from Bragg's law for the DFT cell and can differ from measured ones.

Most intense lines, 10 to 80 degrees two-theta, sorted by position:
| d/Å | I_rel |
| --- | --- |
| 2.954 | 49 |
| 2.786 | 100 |
| 2.559 | 72 |
| 2.182 | 12 |
| 2.027 | 15 |
| 1.884 | 18 |
| 1.768 | 12 |
| 1.706 | 48 |
| 1.671 | 11 |
| 1.455 | 19 |
| 1.419 | 11 |
| 1.399 | 15 |

Crystal structure
Lattice parameters (Å, degrees): 10.235 10.235 10.235 60.00 60.00 60.00
Fractional positions:
Th  0.078  0.078  0.672
Th  0.078  0.672  0.078
Th  0.078  0.672  0.672
Th  0.328  0.328  0.922
Th  0.328  0.922  0.328
Th  0.328  0.922  0.922
Th  0.672  0.078  0.078
Th  0.672  0.078  0.672
Th  0.672  0.672  0.078
Th  0.922  0.328  0.328
Th  0.922  0.328  0.922
Th  0.922  0.922  0.328
Cd  0.000  0.500  0.500
Cd  0.295  0.295  0.295
Cd  0.295  0.295  0.616
Cd  0.295  0.616  0.295
Cd  0.384  0.705  0.705
Cd  0.500  0.000  0.500
Cd  0.500  0.500  0.000
Cd  0.500  0.500  0.500
Cd  0.616  0.295  0.295
Cd  0.705  0.384  0.705
Cd  0.705  0.705  0.384
Cd  0.705  0.705  0.705
Ru  0.000  0.000  0.000
Ru  0.000  0.000  0.500
Ru  0.000  0.500  0.000
Ru  0.500  0.000  0.000



4.
This entry pairs a crystal structure of Y3MgCu with its computed PXRD pattern. Radiation: Cu Kα. Structure: a DFT-relaxed cell (PBE, Alexandria).
Peak positions follow from Bragg's law for the DFT cell and can differ from measured ones.

Most intense lines, 10 to 80 degrees two-theta, sorted by position:
| d/Å | I_rel |
| --- | --- |
| 5.852 | 18 |
| 3.052 | 28 |
| 2.982 | 100 |
| 2.926 | 14 |
| 2.450 | 49 |
| 2.236 | 14 |
| 1.911 | 14 |
| 1.879 | 15 |
| 1.733 | 17 |
| 1.700 | 21 |
| 1.498 | 24 |
| 1.213 | 13 |

Crystal structure
Lattice parameters (Å, degrees): 6.801 6.801 6.801 137.76 137.76 61.26
Fractional positions:
Y  0.000  0.000  0.000
Y  0.244  0.744  0.500
Y  0.744  0.244  0.500
Mg  0.432  0.432  0.000
Cu  0.638  0.638  0.000



5.
This entry pairs a crystal structure of UCoAsN with its computed PXRD pattern. Radiation: Cu Kα. Structure: a DFT-relaxed cell (PBE, Alexandria).
Peak positions follow from Bragg's law for the DFT cell and can differ from measured ones.

Most intense lines, 10 to 80 degrees two-theta, sorted by position:
| d/Å | I_rel |
| --- | --- |
| 3.455 | 29 |
| 2.752 | 100 |
| 2.718 | 31 |
| 2.628 | 9 |
| 2.569 | 21 |
| 2.237 | 23 |
| 1.922 | 31 |
| 1.754 | 13 |
| 1.595 | 22 |
| 1.576 | 39 |
| 1.359 | 10 |
| 1.295 | 10 |

Crystal structure
Lattice parameters (Å, degrees): 3.843 3.843 7.883 90.00 90.00 90.00
Fractional positions:
U  0.250  0.250  0.149
U  0.750  0.750  0.851
Co  0.250  0.750  0.500
Co  0.750  0.250  0.500
As  0.250  0.250  0.666
As  0.750  0.750  0.334
N  0.250  0.750  0.000
N  0.750  0.250  0.000



6.
This entry pairs a crystal structure of Dy2HoEr7 with its computed PXRD pattern. Radiation: Cu Kα. Structure: a DFT-relaxed cell (PBE, Alexandria).
Peak positions follow from Bragg's law for the DFT cell and can differ from measured ones.

Most intense lines, 10 to 80 degrees two-theta, sorted by position:
| d/Å | I_rel |
| --- | --- |
| 2.863 | 100 |
| 2.480 | 51 |
| 1.754 | 30 |
| 1.751 | 6 |
| 1.496 | 28 |
| 1.494 | 14 |
| 1.433 | 3 |
| 1.431 | 9 |
| 1.240 | 4 |
| 1.239 | 2 |

Crystal structure
Lattice parameters (Å, degrees): 6.069 6.081 9.269 102.63 109.00 99.57
Fractional positions:
Dy  0.100  0.000  0.200
Dy  0.900  0.000  0.800
Ho  0.500  0.500  0.500
Er  0.100  0.500  0.700
Er  0.300  0.000  0.600
Er  0.300  0.500  0.100
Er  0.500  0.000  0.000
Er  0.700  0.000  0.400
Er  0.700  0.500  0.900
Er  0.900  0.500  0.300